For LiEr4Pt, a cell relaxed with GGA-PBE gives the theoretical X-ray powder pattern in this record (Cu Kα (λ = 1.5418 Å)).
Intensities are scaled so that the largest is 100.

Structural model:
Cell: 7.971 7.971 7.971 Å, 101.86 101.86 126.08°
Fractional positions:
1 Li 0.000 0.000 0.000
2 Li 0.750 0.250 0.500
3 Er 0.051 0.813 0.238
4 Er 0.072 0.380 0.309
5 Er 0.072 0.763 0.691
6 Er 0.130 0.322 0.809
7 Er 0.513 0.322 0.191
8 Er 0.563 0.301 0.738
9 Er 0.563 0.825 0.262
10 Er 0.575 0.813 0.762
11 Pt 0.357 0.857 0.500
12 Pt 0.607 0.607 0.000

Largest 8 diffraction maxima, in order of rising 2θ, 2θ = 10–80°:
| two_theta | d/Å | intensity |
| --- | --- | --- |
| 15.10 | 5.868 | 39.5 |
| 17.65 | 5.024 | 28.8 |
| 25.07 | 3.553 | 30.5 |
| 30.47 | 2.934 | 100.0 |
| 35.74 | 2.512 | 42.5 |
| 37.70 | 2.386 | 26.8 |
| 45.81 | 1.981 | 26.3 |
| 47.66 | 1.908 | 32.6 |